(1)
Theoretical powder diffractogram
Compound: FeOF
Radiation: Cu Kα X-rays
Structure: a structure optimized by DFT (PBE+U)
No peak broadening, texture or thermal motion is included.

The 6 most intense peaks (2θ from 10° to 90°), most intense first:
(1 0 -3), 26.09°, d = 3.415 Å, I = 100
(1 0 3), 26.71°, d = 3.338 Å, I = 94
(1 1 0), 34.87°, d = 2.573 Å, I = 49
(0 1 3), 34.97°, d = 2.566 Å, I = 48
(1 1 -6), 52.08°, d = 1.756 Å, I = 27
(2 1 -3), 51.85°, d = 1.763 Å, I = 27

Structural model:
Lattice parameters (Å, degrees): 4.7995 3.0485 14.2566 90.00 91.31 90.00
Space group Pm (No. 6)
Asymmetric unit:
Fe 0.0000 0.0000 0.0000 x1
Fe 0.0046 0.0000 0.3376 x1
Fe 0.4265 0.5000 0.1687 x1
Fe 0.5027 0.5000 0.4763 x1
Fe 0.5570 0.5000 0.8335 x1
Fe 0.9811 0.0000 0.6712 x1
O 0.1789 0.5000 0.2673 x1
O 0.2872 0.0000 0.4432 x1
O 0.2885 0.0000 0.0915 x1
O 0.7023 0.0000 0.9004 x1
O 0.7942 0.5000 0.3918 x1
O 0.8149 0.5000 0.7301 x1
F 0.1783 0.5000 0.6126 x1
F 0.1895 0.5000 0.9270 x1
F 0.3096 0.0000 0.7685 x1
F 0.6777 0.0000 0.2196 x1
F 0.6963 0.0000 0.5692 x1
F 0.8017 0.5000 0.0614 x1

(2)
Theoretical powder diffractogram
Compound: NaTbMnWO6
Radiation: Cu Kα X-rays
Structure: a structure optimized by DFT (PBE+U)
No peak broadening, texture or thermal motion is included.

The 6 most intense peaks (2θ from 10° to 90°), most intense first:
(2 2 0), 31.59°, d = 2.832 Å, I = 100
(1 1 1), 19.19°, d = 4.625 Å, I = 52
(4 2 2), 56.25°, d = 1.635 Å, I = 40
(4 0 0), 45.28°, d = 2.003 Å, I = 32
(3 1 1), 37.22°, d = 2.415 Å, I = 28
(4 4 0), 65.96°, d = 1.416 Å, I = 19

Structural model:
Lattice parameters (Å, degrees): 8.0112 8.0112 8.0112 90.00 90.00 90.00
Space group F-43m (No. 216)
Asymmetric unit:
Na 0.0000 0.0000 0.0000 x4
Tb 0.0000 0.0000 0.5000 x4
Mn 0.2500 0.2500 0.2500 x4
W 0.2500 0.2500 0.7500 x4
O 0.0092 0.2500 0.7500 x24

(3)
Theoretical powder diffractogram
Compound: FeOF
Radiation: Cu Kα X-rays
Structure: a structure optimized by DFT (PBE+U)
No peak broadening, texture or thermal motion is included.

The 6 most intense peaks (2θ from 10° to 90°), most intense first:
(2 0 -3), 26.55°, d = 3.358 Å, I = 100
(2 1 0), 34.66°, d = 2.588 Å, I = 53
(4 1 -3), 52.27°, d = 1.750 Å, I = 43
(2 1 -3), 39.66°, d = 2.273 Å, I = 18
(4 1 3), 52.34°, d = 1.748 Å, I = 15
(2 2 -3), 66.69°, d = 1.403 Å, I = 12

Structural model:
Lattice parameters (Å, degrees): 9.4881 3.0872 14.2597 90.00 90.11 90.00
Space group Pm (No. 6)
Asymmetric unit:
Fe 0.0000 0.0000 0.0000 x1
Fe 0.0011 0.0000 0.2949 x1
Fe 0.2414 0.5000 0.1510 x1
Fe 0.2435 0.5000 0.4872 x1
Fe 0.2611 0.5000 0.8152 x1
Fe 0.4657 0.0000 0.6458 x1
Fe 0.4935 0.0000 0.2939 x1
Fe 0.4969 0.0000 0.9666 x1
Fe 0.7397 0.5000 0.8188 x1
Fe 0.7521 0.5000 0.4838 x1
Fe 0.7553 0.5000 0.1524 x1
Fe 0.9968 0.0000 0.6317 x1
O 0.1018 0.5000 0.0440 x1
O 0.1463 0.0000 0.5456 x1
O 0.1570 0.0000 0.2112 x1
O 0.3364 0.0000 0.7496 x1
O 0.3974 0.5000 0.9161 x1
O 0.4004 0.5000 0.2462 x1
O 0.4064 0.5000 0.5794 x1
O 0.6519 0.0000 0.2099 x1
O 0.6535 0.0000 0.8744 x1
O 0.8406 0.0000 0.0830 x1
O 0.8917 0.5000 0.5789 x1
O 0.8985 0.5000 0.2535 x1
F 0.0846 0.5000 0.7119 x1
F 0.0895 0.5000 0.3787 x1
F 0.1406 0.0000 0.8752 x1
F 0.3442 0.0000 0.4127 x1
F 0.3541 0.0000 0.0804 x1
F 0.5911 0.5000 0.0419 x1
F 0.6005 0.5000 0.3837 x1
F 0.6007 0.5000 0.7097 x1
F 0.6485 0.0000 0.5424 x1
F 0.8404 0.0000 0.4164 x1
F 0.8437 0.0000 0.7493 x1
F 0.8994 0.5000 0.9135 x1

(4)
Theoretical powder diffractogram
Compound: RbMg14CoO16
Radiation: Cu Kα X-rays
Structure: a structure optimized by DFT (PBE+U)
No peak broadening, texture or thermal motion is included.

The 6 most intense peaks (2θ from 10° to 90°), most intense first:
(4 0 0), 41.29°, d = 2.187 Å, I = 100
(4 0 2), 60.29°, d = 1.535 Å, I = 56
(0 0 2), 41.91°, d = 2.156 Å, I = 49
(2 2 1), 35.73°, d = 2.513 Å, I = 33
(4 4 0), 59.81°, d = 1.546 Å, I = 28
(4 4 2), 75.70°, d = 1.256 Å, I = 25

Structural model:
Lattice parameters (Å, degrees): 8.7467 8.7467 4.3110 90.00 90.00 90.00
Space group P4/mmm (No. 123)
Asymmetric unit:
Rb 0.0000 0.0000 0.0000 x1
Mg 0.0000 0.2637 0.5000 x4
Mg 0.0000 0.5000 0.0000 x2
Mg 0.2522 0.5000 0.5000 x4
Mg 0.2527 0.2527 0.0000 x4
Co 0.5000 0.5000 0.0000 x1
O 0.0000 0.0000 0.5000 x1
O 0.0000 0.2793 0.0000 x4
O 0.0000 0.5000 0.5000 x2
O 0.2497 0.2497 0.5000 x4
O 0.2591 0.5000 0.0000 x4
O 0.5000 0.5000 0.5000 x1

What did the first record say?
Theoretical powder diffractogram
Compound: FeOF
Radiation: Cu Kα X-rays
Structure: a structure optimized by DFT (PBE+U)
No peak broadening, texture or thermal motion is included.

The 6 most intense peaks (2θ from 10° to 90°), most intense first:
(1 0 -3), 26.09°, d = 3.415 Å, I = 100
(1 0 3), 26.71°, d = 3.338 Å, I = 94
(1 1 0), 34.87°, d = 2.573 Å, I = 49
(0 1 3), 34.97°, d = 2.566 Å, I = 48
(1 1 -6), 52.08°, d = 1.756 Å, I = 27
(2 1 -3), 51.85°, d = 1.763 Å, I = 27

Structural model:
Lattice parameters (Å, degrees): 4.7995 3.0485 14.2566 90.00 91.31 90.00
Space group Pm (No. 6)
Asymmetric unit:
Fe 0.0000 0.0000 0.0000 x1
Fe 0.0046 0.0000 0.3376 x1
Fe 0.4265 0.5000 0.1687 x1
Fe 0.5027 0.5000 0.4763 x1
Fe 0.5570 0.5000 0.8335 x1
Fe 0.9811 0.0000 0.6712 x1
O 0.1789 0.5000 0.2673 x1
O 0.2872 0.0000 0.4432 x1
O 0.2885 0.0000 0.0915 x1
O 0.7023 0.0000 0.9004 x1
O 0.7942 0.5000 0.3918 x1
O 0.8149 0.5000 0.7301 x1
F 0.1783 0.5000 0.6126 x1
F 0.1895 0.5000 0.9270 x1
F 0.3096 0.0000 0.7685 x1
F 0.6777 0.0000 0.2196 x1
F 0.6963 0.0000 0.5692 x1
F 0.8017 0.5000 0.0614 x1

Which formula does entry 3 have? FeOF